This entry pairs a crystal structure of RbNF2 with its theoretical powder XRD pattern. Radiation: Cu Kα X-rays. Structure: the GGA-PBE geometry in Alexandria.
Lines closer than 0.1° are merged.

Top 10 peaks for 2θ from 10° to 90°, most intense first:
two_theta	Rel. int.
15.62	100
30.33	93
25.87	91
30.89	89
22.98	86
22.73	85
15.97	84
35.75	74
33.17	74
36.40	67

Cell and atoms:
```
RbNF2
1.0
6.890 0.000 0.000
0.000 5.401 0.000
-6.662 0.000 9.674
Rb N F
4 4 8
Direct
0.152 0.239 0.154
0.152 0.261 0.654
0.848 0.739 0.346
0.848 0.761 0.846
0.449 0.044 0.948
0.449 0.456 0.448
0.551 0.544 0.552
0.551 0.956 0.052
0.012 0.237 0.363
0.012 0.263 0.863
0.279 0.738 0.136
0.279 0.762 0.636
0.721 0.238 0.364
0.721 0.262 0.864
0.988 0.737 0.137
0.988 0.763 0.637
```